Diffraction record for Pa2VBi. The powder X-ray diffraction pattern is calculated, not measured: it uses a crystal structure in Alexandria, relaxed with PBE and Cu Kα X-rays.
No peak broadening, texture or thermal motion is included.

Largest 6 diffraction maxima, by intensity, 2θ = 10–80°:
2theta, I (rel.), hkl
34.48, 100, 1 1 1
41.17, 31, 2 0 0
70.74, 26, 3 1 1
56.99, 24, 2 0 2
37.63, 20, 0 0 2
65.90, 16, 1 1 3

Cell and atoms:
Cell lengths 4.3849, 4.3849, 4.7810 Å; angles 90.00, 90.00, 90.00 degrees
Space group P4/mmm (No. 123)
Asymmetric unit:
Pa 0.0000 0.5000 0.0000 [2 per cell]
V 0.0000 0.0000 0.5000 [1 per cell]
Bi 0.5000 0.5000 0.5000 [1 per cell]